No. 1
Theoretical PXRD pattern
Compound: TmNiO3
Radiation: Cu Kα (weighted mean of Kα1 and Kα2)
Structure: DFT lattice parameters and positions (PBE+U)
No peak broadening, texture or thermal motion is included.

Main lines, by angle (10° ≤ 2θ ≤ 90°):
(hkl)  2θ/deg  I (rel.)
1 1 0  26.5  58
1 1 1  33.8  100
1 1 -3  34.0  100
2 0 -2  34.8  51
1 3 0  54.3  41
2 0 -6  61.7  40

Structural model:
Cell: 5.159 5.531 9.012 Å, 90.00 124.65 90.00°
Space group P2_1/c (No. 14)
Asymmetric unit:
Tm 0.228 0.078 0.249 [4 per cell]
Ni 0.000 0.000 0.500 [2 per cell]
Ni 0.500 0.000 0.000 [2 per cell]
O 0.143 0.187 0.946 [4 per cell]
O 0.259 0.702 0.942 [4 per cell]
O 0.368 0.038 0.756 [4 per cell]

No. 2
Theoretical PXRD pattern
Compound: TmNiO3
Radiation: Cu Kα (weighted mean of Kα1 and Kα2)
Structure: DFT lattice parameters and positions (PBE+U)
No peak broadening, texture or thermal motion is included.

Main lines, by angle (10° ≤ 2θ ≤ 90°):
(hkl)  2θ/deg  I (rel.)
1 1 1  26.5  30
1 2 1  33.9  100
2 1 0  34.6  19
0 0 2  34.7  25
3 1 1  54.2  21
0 4 2  61.6  32

Structural model:
Cell: 5.542 7.414 5.171 Å, 90.00 90.00 90.00°
Space group Pnma (No. 62)
Asymmetric unit:
Tm 0.078 0.250 0.022 [4 per cell]
Ni 0.000 0.000 0.500 [4 per cell]
O 0.037 0.750 0.388 [4 per cell]
O 0.188 0.553 0.804 [8 per cell]

No. 3
Theoretical PXRD pattern
Compound: U2NiO6
Radiation: Cu Kα (weighted mean of Kα1 and Kα2)
Structure: DFT lattice parameters and positions (PBE+U)
No peak broadening, texture or thermal motion is included.

Main lines, by angle (10° ≤ 2θ ≤ 90°):
(hkl)  2θ/deg  I (rel.)
1 1 0  19.4  17
1 1 1  26.3  100
3 0 0  33.9  35
2 2 1  43.5  24
0 3 2  50.1  35
4 1 1  56.3  21

Structural model:
Cell: 9.1509 9.1509 5.0287 Å, 90.00 90.00 120.00°
Space group P321 (No. 150)
Asymmetric unit:
U 0.0000 0.3125 0.0000 [3 per cell]
U 0.0000 0.6466 0.5000 [3 per cell]
Ni 0.0000 0.0000 0.5000 [1 per cell]
Ni 0.3333 0.6667 0.0046 [2 per cell]
O 0.1002 0.8775 0.2767 [6 per cell]
O 0.1118 0.5451 0.2352 [6 per cell]
O 0.2201 0.7750 0.7740 [6 per cell]

No. 4
Theoretical PXRD pattern
Compound: V2NiO6
Radiation: Cu Kα (weighted mean of Kα1 and Kα2)
Structure: DFT lattice parameters and positions (PBE+U)
No peak broadening, texture or thermal motion is included.

Main lines, by angle (10° ≤ 2θ ≤ 90°):
(hkl)  2θ/deg  I (rel.)
0 0 1  19.4  60
1 1 0  21.4  100
1 0 1  32.3  68
1 1 -1  33.3  61
0 1 2  34.0  53
-1 1 1  35.2  78

Structural model:
Cell: 4.987 5.101 5.297 Å, 62.86 88.39 60.81°
Space group P1 (No. 1)
Asymmetric unit:
V 0.000 0.000 0.000 [1 per cell]
V 0.482 0.006 0.490 [1 per cell]
Ni 0.718 0.558 0.134 [1 per cell]
O 0.152 0.419 0.325 [1 per cell]
O 0.304 0.823 0.833 [1 per cell]
O 0.404 0.821 0.315 [1 per cell]
O 0.697 0.007 0.834 [1 per cell]
O 0.770 0.078 0.311 [1 per cell]
O 0.892 0.423 0.818 [1 per cell]